Simulated powder diffractogram
Compound: Cs2U2FeS6
Radiation: Cu Kα, 1.54184 Å
Structure: the PBE geometry in Alexandria

The 10 most intense peaks (2θ = 5–70°), by angle:
- (0 0 1), 2θ = 10.62°, I = 86
- (1 1 -1), 2θ = 17.06°, I = 34
- (0 0 2), 2θ = 21.31°, I = 87
- (2 0 0), 2θ = 28.07°, I = 25
- (1 3 -1), 2θ = 28.35°, I = 51
- (2 0 -2), 2θ = 30.46°, I = 51
- (1 3 1), 2θ = 31.13°, I = 100
- (1 3 -3), 2θ = 39.91°, I = 39
- (1 3 3), 2θ = 45.98°, I = 24
- (3 3 -1), 2θ = 48.02°, I = 30

Structure:
```
data_Cs2U2FeS6
_chemical_formula_sum 'Cs4 U4 Fe2 S12'
_cell_length_a 6.5992
_cell_length_b 11.1891
_cell_length_c 8.6459
_cell_angle_alpha 90.00
_cell_angle_beta 105.54
_cell_angle_gamma 90.00
_symmetry_space_group_name_H-M 'C 1 2/m 1'
_symmetry_Int_Tables_number 12
_symmetry_space_group_name_Hall '-C 2y'
loop_
_atom_site_label
_atom_site_type_symbol
_atom_site_fract_x
_atom_site_fract_y
_atom_site_fract_z
Cs1 Cs 0.0000 0.1712 0.0000
U1 U 0.0000 0.3318 0.5000
Fe1 Fe 0.0000 0.0000 0.5000
S1 S 0.2143 0.1499 0.6730
S2 S 0.2385 0.0000 0.3307
```